# 1
Calculated powder X-ray diffraction pattern
Compound: Na2Tl14Se9
Radiation: copper Kα
Structure: a GGA-PBE-relaxed structure
Intensities are scaled so that the largest is 100.

Cell and atoms:
Lattice parameters (Å, degrees): 8.9911 8.9911 12.4604 90.00 90.00 120.00
Space group P-3 (No. 147)
One atom of each set of equivalent atoms:
Na: 0.3333 0.6667 0.2727 [2 per cell]
Tl: 0.0000 0.0000 0.2424 [2 per cell]
Tl: 0.0143 0.6585 0.8998 [6 per cell]
Tl: 0.1071 0.4097 0.5911 [6 per cell]
Se: 0.0000 0.0000 0.0000 [1 per cell]
Se: 0.0895 0.3210 0.3486 [6 per cell]
Se: 0.3333 0.6667 0.0379 [2 per cell]

Most intense lines, 2θ from 10° to 90°, most intense first:
| h k l | two_theta | I (rel.) |
| --- | --- | --- |
| 1 1 2 | 24.42 | 100 |
| 2 -1 4 | 35.05 | 72 |
| 3 -1 1 | 31.23 | 45 |
| 3 0 0 | 34.56 | 44 |
| 1 2 0 | 30.37 | 31 |
| 1 0 2 | 18.24 | 28 |

***

# 2
Calculated powder X-ray diffraction pattern
Compound: NaTl5Se3
Radiation: copper Kα
Structure: a GGA-PBE-relaxed structure
Intensities are scaled so that the largest is 100.

Cell and atoms:
Lattice parameters (Å, degrees): 14.4476 9.1716 10.5677 90.00 113.03 90.00
Space group C2/m (No. 12)
One atom of each set of equivalent atoms:
Na: 0.1154 0.0000 0.3277 [4 per cell]
Tl: 0.0000 0.3218 0.0000 [4 per cell]
Tl: 0.0513 0.5000 0.3216 [4 per cell]
Tl: 0.1206 0.2144 0.7218 [8 per cell]
Tl: 0.2312 0.0000 0.0626 [4 per cell]
Se: 0.0000 0.0000 0.0000 [2 per cell]
Se: 0.0000 0.0000 0.5000 [2 per cell]
Se: 0.1747 0.5000 0.6030 [4 per cell]
Se: 0.2088 0.5000 0.1906 [4 per cell]

Most intense lines, 2θ from 10° to 90°, most intense first:
| h k l | two_theta | I (rel.) |
| --- | --- | --- |
| 2 2 1 | 27.17 | 100 |
| 4 2 -2 | 32.52 | 38 |
| 2 0 -1 | 12.86 | 32 |
| 3 1 -1 | 20.87 | 31 |
| 0 0 3 | 27.51 | 31 |
| 2 0 -3 | 25.42 | 31 |

***

# 3
Calculated powder X-ray diffraction pattern
Compound: NaTlSe
Radiation: copper Kα
Structure: a GGA-PBE-relaxed structure
Intensities are scaled so that the largest is 100.

Cell and atoms:
Lattice parameters (Å, degrees): 5.3865 4.7489 7.4677 90.00 110.16 90.00
Space group P2_1/m (No. 11)
One atom of each set of equivalent atoms:
Na: 0.2190 0.2500 0.4607 [2 per cell]
Tl: 0.2587 0.7500 0.0837 [2 per cell]
Se: 0.3629 0.7500 0.7124 [2 per cell]

Most intense lines, 2θ from 10° to 90°, most intense first:
| h k l | two_theta | I (rel.) |
| --- | --- | --- |
| 1 1 0 | 25.74 | 100 |
| 0 0 1 | 12.63 | 75 |
| 1 1 1 | 31.40 | 55 |
| 0 1 2 | 31.73 | 55 |
| 1 0 -2 | 25.45 | 53 |
| 1 1 -1 | 25.88 | 33 |

***

# 4
Calculated powder X-ray diffraction pattern
Compound: NaTlSe2
Radiation: copper Kα
Structure: a GGA-PBE-relaxed structure
Intensities are scaled so that the largest is 100.

Cell and atoms:
Lattice parameters (Å, degrees): 7.4949 8.7416 6.9997 90.00 90.00 90.00
Space group Pbcn (No. 60)
One atom of each set of equivalent atoms:
Na: 0.0000 0.0876 0.2500 [4 per cell]
Tl: 0.0000 0.4617 0.7500 [4 per cell]
Se: 0.2057 0.3447 0.0282 [8 per cell]

Most intense lines, 2θ from 10° to 90°, most intense first:
| h k l | two_theta | I (rel.) |
| --- | --- | --- |
| 1 1 0 | 15.57 | 100 |
| 2 0 2 | 35.08 | 45 |
| 1 2 1 | 26.83 | 29 |
| 2 2 0 | 31.45 | 27 |
| 0 2 2 | 32.78 | 26 |
| 1 1 2 | 29.97 | 24 |

***

# 5
Calculated powder X-ray diffraction pattern
Compound: NaTm5Se6
Radiation: copper Kα
Structure: a GGA-PBE-relaxed structure
Intensities are scaled so that the largest is 100.

Cell and atoms:
Lattice parameters (Å, degrees): 6.9728 12.0754 7.0184 90.00 109.42 90.00
Space group C2/m (No. 12)
One atom of each set of equivalent atoms:
Na: 0.0000 0.0000 0.0000 [2 per cell]
Tm: 0.0000 0.1623 0.5000 [4 per cell]
Tm: 0.0000 0.3345 0.0000 [4 per cell]
Tm: 0.0000 0.5000 0.5000 [2 per cell]
Se: 0.2482 0.3320 0.7469 [8 per cell]
Se: 0.2487 0.5000 0.2463 [4 per cell]

Most intense lines, 2θ from 10° to 90°, most intense first:
| h k l | two_theta | I (rel.) |
| --- | --- | --- |
| 2 0 -2 | 31.35 | 100 |
| 2 0 2 | 44.82 | 37 |
| 3 3 -1 | 45.04 | 37 |
| 4 0 0 | 55.91 | 19 |
| 5 3 -3 | 74.51 | 16 |
| 5 3 1 | 82.97 | 12 |

***

# 6
Calculated powder X-ray diffraction pattern
Compound: NaY3Tm3Se8
Radiation: copper Kα
Structure: a GGA-PBE-relaxed structure
Intensities are scaled so that the largest is 100.

Cell and atoms:
Lattice parameters (Å, degrees): 8.0806 8.0806 19.8237 90.00 90.00 120.00
Space group R-3m (No. 166, hexagonal axes)
One atom of each set of equivalent atoms:
Na: 0.0000 0.0000 0.0000 [3 per cell]
Y: 0.0000 0.5000 0.5000 [9 per cell]
Tm: 0.0000 0.5000 0.0000 [9 per cell]
Se: 0.0000 0.0000 0.2518 [6 per cell]
Se: 0.0094 0.5047 0.2496 [18 per cell]

Most intense lines, 2θ from 10° to 90°, most intense first:
| h k l | two_theta | I (rel.) |
| --- | --- | --- |
| 0 2 4 | 31.29 | 100 |
| 2 0 8 | 44.84 | 73 |
| 2 2 12 | 74.18 | 32 |
| 0 0 12 | 55.70 | 25 |
| 4 2 8 | 82.73 | 18 |
| 0 1 2 | 15.50 | 14 |

***

# 7
Calculated powder X-ray diffraction pattern
Compound: NaUSe3
Radiation: copper Kα
Structure: a GGA-PBE-relaxed structure
Intensities are scaled so that the largest is 100.

Cell and atoms:
Lattice parameters (Å, degrees): 7.0966 7.0966 21.1097 90.00 90.00 120.00
Space group R32 (No. 155, hexagonal axes)
One atom of each set of equivalent atoms:
Na: 0.0000 0.0000 0.1365 [6 per cell]
U: 0.0000 0.0000 0.3342 [6 per cell]
Se: 0.0016 0.4078 0.9175 [18 per cell]

Most intense lines, 2θ from 10° to 90°, most intense first:
| h k l | two_theta | I (rel.) |
| --- | --- | --- |
| 1 1 6 | 35.95 | 100 |
| 0 0 3 | 12.58 | 61 |
| 1 0 1 | 15.01 | 60 |
| 1 1 3 | 28.17 | 55 |
| 0 1 2 | 16.69 | 47 |
| 1 1 0 | 25.10 | 43 |

***

# 8
Calculated powder X-ray diffraction pattern
Compound: NaU4Se6
Radiation: copper Kα
Structure: a GGA-PBE-relaxed structure
Intensities are scaled so that the largest is 100.

Cell and atoms:
Lattice parameters (Å, degrees): 4.0214 13.4495 21.0434 90.00 90.00 90.00
Space group Cmcm (No. 63)
One atom of each set of equivalent atoms:
Na: 0.0000 0.1736 0.2500 [4 per cell]
U: 0.0000 0.0848 0.6272 [8 per cell]
U: 0.0000 0.3575 0.5385 [8 per cell]
Se: 0.0000 0.0000 0.0000 [4 per cell]
Se: 0.0000 0.1622 0.7500 [4 per cell]
Se: 0.0000 0.2724 0.0905 [8 per cell]
Se: 0.0000 0.4464 0.6623 [8 per cell]

Most intense lines, 2θ from 10° to 90°, most intense first:
| h k l | two_theta | I (rel.) |
| --- | --- | --- |
| 1 3 2 | 31.06 | 100 |
| 1 3 1 | 30.15 | 96 |
| 0 2 7 | 32.63 | 85 |
| 1 3 3 | 32.52 | 81 |
| 1 5 5 | 45.95 | 80 |
| 0 2 5 | 24.96 | 70 |

***

# 9
Calculated powder X-ray diffraction pattern
Compound: Na2U2Se5
Radiation: copper Kα
Structure: a GGA-PBE-relaxed structure
Intensities are scaled so that the largest is 100.

Cell and atoms:
Lattice parameters (Å, degrees): 14.8309 7.7841 7.8211 90.00 90.00 90.00
Space group Cmce (No. 64)
One atom of each set of equivalent atoms:
Na: 0.2027 0.0000 0.0000 [8 per cell]
U: 0.0000 0.1569 0.3423 [8 per cell]
Se: 0.0000 0.0000 0.0000 [4 per cell]
Se: 0.1253 0.1485 0.6475 [16 per cell]

Most intense lines, 2θ from 10° to 90°, most intense first:
| h k l | two_theta | I (rel.) |
| --- | --- | --- |
| 2 0 0 | 11.93 | 100 |
| 3 1 2 | 31.35 | 49 |
| 4 2 1 | 35.35 | 46 |
| 2 2 1 | 28.30 | 28 |
| 5 1 2 | 39.87 | 25 |
| 1 1 3 | 36.86 | 25 |